Computed powder diffraction line list
Compound: AlH12N3F6
Radiation: Cu Ka
Structure: the GGA-PBE geometry in the Materials Project
Intensities are scaled so that the largest is 100.

```
data_AlH12N3F6
_cell_length_a 9.063
_cell_length_b 9.062
_cell_length_c 8.893
_cell_angle_alpha 90.00
_cell_angle_beta 90.00
_cell_angle_gamma 90.00
_symmetry_space_group_name_H-M 'A e a 2'
_symmetry_Int_Tables_number 41
_symmetry_space_group_name_Hall 'A 2 -2ab'
loop_
_atom_site_label
_atom_site_fract_x
_atom_site_fract_y
_atom_site_fract_z
Al1 0.000 0.000 0.000
H1 0.063 0.063 0.430
H2 0.066 0.434 0.065
H3 0.179 0.189 0.817
H4 0.182 0.189 0.182
H5 0.188 0.319 0.679
H6 0.191 0.320 0.321
N1 0.000 0.000 0.499
N2 0.249 0.251 0.750
F1 0.000 0.000 0.205
F2 0.000 0.000 0.795
F3 0.063 0.193 0.000
F4 0.193 0.437 0.500
```

Top 10 peaks for 2θ = 15–90°, by intensity:
- (1 1 1), 17.05°, 5.199 Å, rel. 100
- (2 2 0), 27.84°, 3.204 Å, rel. 42
- (2 0 0), 19.59°, 4.531 Å, rel. 37
- (2 2 2), 34.50°, 2.600 Å, rel. 32
- (4 0 0), 39.79°, 2.266 Å, rel. 31
- (0 0 4), 40.58°, 2.223 Å, rel. 30
- (2 0 2), 28.12°, 3.174 Å, rel. 26
- (0 0 2), 19.97°, 4.447 Å, rel. 25
- (6 2 0), 65.09°, 1.433 Å, rel. 16
- (5 1 1), 52.50°, 1.743 Å, rel. 14

Computed powder diffraction line list
Compound: Pr4Fe29Si5
Radiation: Cu Ka
Structure: the GGA-PBE geometry in the Materials Project
Intensities are scaled so that the largest is 100.

```
data_Pr4Fe29Si5
_cell_length_a 6.470
_cell_length_b 6.500
_cell_length_c 12.928
_cell_angle_alpha 82.25
_cell_angle_beta 81.81
_cell_angle_gamma 82.36
_symmetry_space_group_name_H-M 'P -1'
_symmetry_Int_Tables_number 2
_symmetry_space_group_name_Hall '-P 1'
loop_
_atom_site_label
_atom_site_fract_x
_atom_site_fract_y
_atom_site_fract_z
Pr1 0.152 0.155 0.327
Pr2 0.154 0.153 0.826
Fe1 0.000 0.500 0.000
Fe2 0.000 0.500 0.500
Fe3 0.159 0.661 0.329
Fe4 0.160 0.654 0.830
Fe5 0.161 0.162 0.077
Fe6 0.164 0.166 0.575
Fe7 0.213 0.791 0.501
Fe8 0.214 0.784 0.000
Fe9 0.215 0.501 0.142
Fe10 0.218 0.500 0.641
Fe11 0.346 0.837 0.170
Fe12 0.349 0.835 0.668
Fe13 0.499 0.210 0.643
Fe14 0.499 0.500 0.250
Fe15 0.500 0.000 0.000
Fe16 0.500 0.214 0.143
Si1 0.392 0.419 0.446
Si2 0.400 0.400 0.950
Si3 0.500 0.000 0.500
```

Top 10 peaks for 2θ = 15–90°, by intensity:
- (0 3 0), 42.38°, 2.133 Å, rel. 100
- (-1 2 4), 42.65°, 2.120 Å, rel. 89
- (2 2 4), 42.86°, 2.110 Å, rel. 70
- (2 0 -4), 42.70°, 2.118 Å, rel. 62
- (1 2 0), 29.78°, 3.000 Å, rel. 47
- (1 1 -4), 36.66°, 2.451 Å, rel. 38
- (2 0 4), 37.43°, 2.403 Å, rel. 34
- (2 -1 4), 42.43°, 2.130 Å, rel. 32
- (2 1 0), 29.89°, 2.989 Å, rel. 28
- (4 0 4), 61.82°, 1.501 Å, rel. 25

Computed powder diffraction line list
Compound: Se2SN2Cl
Radiation: Cu Ka
Structure: the GGA-PBE geometry in the Materials Project
Intensities are scaled so that the largest is 100.

```
data_Se2SN2Cl
_cell_length_a 8.283
_cell_length_b 15.519
_cell_length_c 8.852
_cell_angle_alpha 90.00
_cell_angle_beta 90.00
_cell_angle_gamma 90.00
_symmetry_space_group_name_H-M 'P b c a'
_symmetry_Int_Tables_number 61
_symmetry_space_group_name_Hall '-P 2ac 2ab'
loop_
_atom_site_label
_atom_site_fract_x
_atom_site_fract_y
_atom_site_fract_z
Se1 0.054 0.045 0.201
Se2 0.179 0.078 0.964
S1 0.013 0.719 0.410
N1 0.040 0.651 0.281
N2 0.101 0.188 0.960
Cl1 0.219 0.084 0.596
```

Top 10 peaks for 2θ = 15–90°, by intensity:
- (1 1 1), 15.73°, 5.635 Å, rel. 100
- (2 2 1), 26.39°, 3.377 Å, rel. 49
- (2 3 0), 27.59°, 3.233 Å, rel. 46
- (2 2 2), 31.76°, 2.818 Å, rel. 38
- (2 0 2), 29.54°, 3.024 Å, rel. 33
- (1 2 1), 18.60°, 4.770 Å, rel. 32
- (3 1 3), 45.36°, 1.999 Å, rel. 32
- (2 5 0), 36.17°, 2.483 Å, rel. 27
- (0 2 3), 32.46°, 2.758 Å, rel. 27
- (0 4 3), 38.33°, 2.349 Å, rel. 24

Computed powder diffraction line list
Compound: ZrF4
Radiation: Cu Ka
Structure: the GGA-PBE geometry in the Materials Project
Intensities are scaled so that the largest is 100.

```
data_ZrF4
_cell_length_a 5.659
_cell_length_b 5.706
_cell_length_c 8.099
_cell_angle_alpha 90.00
_cell_angle_beta 105.91
_cell_angle_gamma 90.00
_symmetry_space_group_name_H-M 'P 1 21/c 1'
_symmetry_Int_Tables_number 14
_symmetry_space_group_name_Hall '-P 2ybc'
loop_
_atom_site_label
_atom_site_fract_x
_atom_site_fract_y
_atom_site_fract_z
Zr1 0.212 0.167 0.170
F1 0.004 0.040 0.708
F2 0.141 0.656 0.521
F3 0.314 0.242 0.453
F4 0.483 0.041 0.734
```

Top 10 peaks for 2θ = 15–90°, by intensity:
- (1 1 0), 22.58°, 3.938 Å, rel. 100
- (1 1 -1), 23.20°, 3.834 Å, rel. 30
- (1 0 -2), 24.18°, 3.680 Å, rel. 26
- (1 1 -2), 28.87°, 3.093 Å, rel. 26
- (0 1 2), 27.73°, 3.217 Å, rel. 26
- (0 1 4), 49.46°, 1.843 Å, rel. 18
- (2 2 -1), 45.20°, 2.006 Å, rel. 18
- (0 0 2), 22.84°, 3.894 Å, rel. 17
- (1 3 -1), 51.16°, 1.785 Å, rel. 17
- (1 0 2), 31.71°, 2.822 Å, rel. 16